The following is a theoretical XRD peak list of Ba2NdReO6. It was derived from DFT lattice parameters and positions (GGA-PBE), using Cu Kα (weighted mean of Kα1 and Kα2).
No peak broadening, texture or thermal motion is included.

Structure:
```
Ba2NdReO6
1.0
6.0825 0.0000 0.0000
0.0000 6.0724 0.0000
-6.0651 0.0000 8.5939
Ba Nd Re O
4 2 2 12
direct
0.2463 0.0161 0.2496
0.2463 0.4839 0.7496
0.7537 0.5161 0.2504
0.7537 0.9839 0.7504
0.5000 0.0000 0.0000
0.5000 0.5000 0.5000
0.0000 0.0000 0.5000
0.0000 0.5000 0.0000
0.1818 0.2490 0.9751
0.1818 0.2510 0.4751
0.2271 0.7069 0.9761
0.2271 0.7931 0.4761
0.2740 0.0072 0.7283
0.2740 0.4928 0.2283
0.7260 0.5072 0.7717
0.7260 0.9928 0.2717
0.7729 0.2069 0.5239
0.7729 0.2931 0.0239
0.8182 0.7490 0.5249
0.8182 0.7510 0.0249
```

Principal peaks in the range 2θ from 10° to 90°, low angle first:
- 3.039 Å, rel. 100, (1 1 1)
- 2.149 Å, rel. 27, (0 0 4)
- 1.755 Å, rel. 31, (2 0 2)
- 1.753 Å, rel. 10, (1 3 -3)
- 1.359 Å, rel. 18, (1 1 5)
- 1.148 Å, rel. 13, (3 1 -9)